Sm2Y6Ho2Er: computed XRD peak list (Cu Kα (λ = 1.5418 Å)), based on the PBE geometry in Alexandria.

Crystal structure
Cell lengths 5.6632, 12.0390, 10.5820 Å; angles 90.00, 90.04, 90.00 degrees
Space group C2/m (No. 12)
One atom of each set of equivalent atoms:
Sm 0.0000 0.1344 0.0000 [4 per cell]
Y 0.0007 0.0000 0.2959 [4 per cell]
Y 0.0006 0.3469 0.2093 [8 per cell]
Ho 0.0000 0.2056 0.5000 [4 per cell]
Er 0.0000 0.5000 0.5000 [2 per cell]

Peak list (6 most intense, 2θ = 5–70°, low angle first)
| h k l | two_theta | Rel. int. |
| --- | --- | --- |
| 1 1 3 | 30.8 | 28 |
| 0 4 1 | 30.9 | 23 |
| 2 0 0 | 31.6 | 38 |
| 1 3 2 | 32.1 | 100 |
| 0 0 4 | 33.9 | 19 |
| 3 3 2 | 56.6 | 26 |

KSb4Mo: computed XRD peak list (Cu Kα (λ = 1.5418 Å)), based on the PBE geometry in Alexandria.

Crystal structure
Cell lengths 8.9655, 8.9655, 8.9655 Å; angles 90.00, 90.00, 90.00 degrees
Space group F-43m (No. 216)
One atom of each set of equivalent atoms:
K 0.0000 0.0000 0.0000 [4 per cell]
Sb 0.1243 0.1243 0.3757 [16 per cell]
Mo 0.2500 0.2500 0.7500 [4 per cell]

Peak list (6 most intense, 2θ = 5–70°, low angle first)
| h k l | two_theta | Rel. int. |
| --- | --- | --- |
| 1 1 1 | 17.1 | 32 |
| 3 1 1 | 33.1 | 100 |
| 2 2 2 | 34.7 | 60 |
| 3 3 3 | 53.1 | 34 |
| 4 4 0 | 58.2 | 31 |
| 6 2 2 | 69.6 | 23 |

Cs2LaS10: computed XRD peak list (Cu Kα (λ = 1.5418 Å)), based on the PBE geometry in Alexandria.

Crystal structure
Cell lengths 6.5443, 26.2524, 5.1836 Å; angles 90.00, 90.00, 90.00 degrees
Space group Pbam (No. 55)
One atom of each set of equivalent atoms:
Cs 0.0145 0.1359 0.0000 [4 per cell]
La 0.0000 0.5000 0.5000 [2 per cell]
S 0.0141 0.4064 0.1971 [8 per cell]
S 0.0812 0.0333 0.5000 [4 per cell]
S 0.1828 0.7147 0.5000 [4 per cell]
S 0.2282 0.2848 0.5000 [4 per cell]

Peak list (6 most intense, 2θ = 5–70°, low angle first)
| h k l | two_theta | Rel. int. |
| --- | --- | --- |
| 1 3 0 | 16.9 | 36 |
| 0 4 1 | 21.8 | 100 |
| 1 1 1 | 22.1 | 29 |
| 2 0 0 | 27.2 | 29 |
| 1 7 1 | 32.5 | 32 |
| 2 4 1 | 35.2 | 25 |

Ir2OsRh5: computed XRD peak list (Cu Kα (λ = 1.5418 Å)), based on the PBE geometry in Alexandria.

Crystal structure
Cell lengths 3.8437, 3.8437, 15.4415 Å; angles 90.00, 90.00, 90.00 degrees
Space group I4/mmm (No. 139)
One atom of each set of equivalent atoms:
Ir 0.0000 0.0000 0.2468 [4 per cell]
Os 0.0000 0.0000 0.5000 [2 per cell]
Rh 0.0000 0.0000 0.0000 [2 per cell]
Rh 0.0000 0.5000 0.1237 [8 per cell]

Peak list (6 most intense, 2θ = 5–70°, low angle first)
| h k l | two_theta | Rel. int. |
| --- | --- | --- |
| 0 0 4 | 23.0 | 5 |
| 1 1 4 | 40.6 | 100 |
| 0 0 8 | 47.1 | 16 |
| 2 0 0 | 47.3 | 32 |
| 2 0 8 | 69.0 | 21 |
| 2 2 0 | 69.1 | 10 |

LiH2BrF: computed XRD peak list (Cu Kα (λ = 1.5418 Å)), based on the PBE geometry in Alexandria.

Crystal structure
Cell lengths 2.8022, 2.8089, 9.7161 Å; angles 95.30, 94.95, 90.22 degrees
Space group P1 (No. 1)
One atom of each set of equivalent atoms:
Li 0.0000 0.0000 0.0000 [1 per cell]
H 0.7000 0.6711 0.7356 [1 per cell]
H 0.8509 0.8197 0.6954 [1 per cell]
Br 0.1212 0.1138 0.3613 [1 per cell]
F 0.4995 0.4998 0.0002 [1 per cell]

Peak list (6 most intense, 2θ = 5–70°, low angle first)
| h k l | two_theta | Rel. int. |
| --- | --- | --- |
| 0 0 1 | 9.2 | 100 |
| 0 0 2 | 18.4 | 33 |
| 0 0 3 | 27.8 | 22 |
| 1 0 0 | 32.0 | 13 |
| 1 0 1 | 34.2 | 22 |
| 0 1 -2 | 35.6 | 9 |

Pr4Ag3Hg: computed XRD peak list (Cu Kα (λ = 1.5418 Å)), based on the PBE geometry in Alexandria.

Crystal structure
Cell lengths 3.8113, 5.3789, 10.7456 Å; angles 90.00, 90.00, 90.00 degrees
Space group Pmmm (No. 47)
One atom of each set of equivalent atoms:
Pr 0.0000 0.0000 0.0000 [1 per cell]
Pr 0.0000 0.0000 0.5000 [1 per cell]
Pr 0.0000 0.5000 0.2466 [2 per cell]
Ag 0.5000 0.0000 0.2490 [2 per cell]
Ag 0.5000 0.5000 0.0000 [1 per cell]
Hg 0.5000 0.5000 0.5000 [1 per cell]

Peak list (6 most intense, 2θ = 5–70°, low angle first)
| h k l | two_theta | Rel. int. |
| --- | --- | --- |
| 1 1 2 | 33.3 | 100 |
| 2 0 0 | 47.7 | 6 |
| 0 2 4 | 47.9 | 12 |
| 2 2 0 | 59.5 | 25 |
| 1 1 6 | 59.6 | 12 |
| 2 2 4 | 69.9 | 9 |

Na5UO5: computed XRD peak list (Cu Kα (λ = 1.5418 Å)), based on the PBE geometry in Alexandria.

Crystal structure
Cell lengths 11.1336, 4.6160, 6.6473 Å; angles 90.00, 108.71, 90.00 degrees
Space group C2/m (No. 12)
One atom of each set of equivalent atoms:
Na 0.0000 0.0000 0.0000 [2 per cell]
Na 0.1808 0.5000 0.3572 [4 per cell]
Na 0.2014 0.5000 0.8317 [4 per cell]
U 0.0000 0.0000 0.5000 [2 per cell]
O 0.0000 0.5000 0.5000 [2 per cell]
O 0.1370 0.0000 0.3378 [4 per cell]
O 0.1488 0.0000 0.8018 [4 per cell]

Peak list (6 most intense, 2θ = 5–70°, low angle first)
| h k l | two_theta | Rel. int. |
| --- | --- | --- |
| 0 0 1 | 14.1 | 100 |
| 2 0 0 | 16.8 | 39 |
| 2 0 -1 | 18.2 | 49 |
| 1 1 0 | 21.0 | 87 |
| 1 1 -1 | 23.8 | 36 |
| 2 0 2 | 37.7 | 40 |

CdMoOs: computed XRD peak list (Cu Kα (λ = 1.5418 Å)), based on the PBE geometry in Alexandria.

Crystal structure
Cell lengths 3.0014, 4.6400, 14.5150 Å; angles 90.00, 90.00, 90.00 degrees
Space group Fmm2 (No. 42)
One atom of each set of equivalent atoms:
Cd 0.0000 0.0000 0.0000 [4 per cell]
Mo 0.0000 0.0000 0.3223 [4 per cell]
Os 0.0000 0.0000 0.6760 [4 per cell]

Peak list (6 most intense, 2θ = 5–70°, low angle first)
| h k l | two_theta | Rel. int. |
| --- | --- | --- |
| 0 0 2 | 12.2 | 23 |
| 0 0 6 | 37.2 | 29 |
| 0 2 0 | 38.8 | 29 |
| 1 1 3 | 40.4 | 100 |
| 0 2 6 | 54.8 | 19 |
| 1 1 9 | 69.2 | 16 |

Er3FePt12: computed XRD peak list (Cu Kα (λ = 1.5418 Å)), based on the PBE geometry in Alexandria.

Crystal structure
Cell lengths 4.0656, 4.0656, 16.1706 Å; angles 90.00, 90.00, 90.00 degrees
Space group P4/mmm (No. 123)
One atom of each set of equivalent atoms:
Er 0.0000 0.0000 0.0000 [1 per cell]
Er 0.0000 0.0000 0.2550 [2 per cell]
Fe 0.0000 0.0000 0.5000 [1 per cell]
Pt 0.0000 0.5000 0.1279 [4 per cell]
Pt 0.0000 0.5000 0.3858 [4 per cell]
Pt 0.5000 0.5000 0.0000 [1 per cell]
Pt 0.5000 0.5000 0.2568 [2 per cell]
Pt 0.5000 0.5000 0.5000 [1 per cell]

Peak list (6 most intense, 2θ = 5–70°, low angle first)
| h k l | two_theta | Rel. int. |
| --- | --- | --- |
| 1 1 3 | 35.4 | 2 |
| 1 1 4 | 38.4 | 100 |
| 2 0 0 | 44.6 | 34 |
| 0 0 8 | 44.8 | 15 |
| 2 2 0 | 64.9 | 11 |
| 2 0 8 | 65.1 | 20 |

Li3CuGe: computed XRD peak list (Cu Kα (λ = 1.5418 Å)), based on the PBE geometry in Alexandria.

Crystal structure
Cell lengths 9.1298, 6.6379, 5.5121 Å; angles 90.00, 90.00, 90.00 degrees
Space group Ima2 (No. 46)
One atom of each set of equivalent atoms:
Li 0.0200 0.2488 0.0000 [8 per cell]
Li 0.2500 0.0679 0.2527 [4 per cell]
Cu 0.2500 0.7502 0.0031 [4 per cell]
Ge 0.2500 0.0414 0.7524 [4 per cell]

Peak list (6 most intense, 2θ = 5–70°, low angle first)
| h k l | two_theta | Rel. int. |
| --- | --- | --- |
| 1 1 0 | 16.5 | 32 |
| 2 0 0 | 19.4 | 100 |
| 0 1 1 | 20.9 | 40 |
| 2 1 1 | 28.7 | 36 |
| 1 1 2 | 36.7 | 33 |
| 2 2 2 | 47.3 | 32 |

La7GeCl12: computed XRD peak list (Cu Kα (λ = 1.5418 Å)), based on the PBE geometry in Alexandria.

Crystal structure
Cell lengths 15.0997, 15.0997, 10.1556 Å; angles 90.00, 90.00, 120.00 degrees
Space group R-3 (No. 148, hexagonal axes)
One atom of each set of equivalent atoms:
La 0.0000 0.0000 0.0000 [3 per cell]
La 0.0427 0.1738 0.3382 [18 per cell]
Ge 0.0000 0.0000 0.5000 [3 per cell]
Cl 0.0274 0.5831 0.1627 [18 per cell]
Cl 0.0426 0.1725 0.8386 [18 per cell]

Peak list (6 most intense, 2θ = 5–70°, low angle first)
| h k l | two_theta | Rel. int. |
| --- | --- | --- |
| 1 0 1 | 11.0 | 25 |
| 1 1 0 | 11.7 | 62 |
| 3 -1 1 | 20.0 | 18 |
| 3 1 2 | 30.3 | 100 |
| 2 5 0 | 43.2 | 34 |
| 4 -3 4 | 43.5 | 36 |

Sr4Ca8Mg: computed XRD peak list (Cu Kα (λ = 1.5418 Å)), based on the PBE geometry in Alexandria.

Crystal structure
Cell lengths 12.9740, 6.0861, 15.0410 Å; angles 90.00, 104.80, 90.00 degrees
Space group C2/m (No. 12)
One atom of each set of equivalent atoms:
Sr 0.0871 0.0000 0.1342 [4 per cell]
Sr 0.1605 0.5000 0.5464 [4 per cell]
Ca 0.0186 0.0000 0.3747 [4 per cell]
Ca 0.0942 0.5000 0.7944 [4 per cell]
Ca 0.2102 0.5000 0.2983 [4 per cell]
Ca 0.2271 0.0000 0.9297 [4 per cell]
Mg 0.0000 0.5000 0.0000 [2 per cell]

Peak list (6 most intense, 2θ = 5–70°, low angle first)
| h k l | two_theta | Rel. int. |
| --- | --- | --- |
| 3 1 0 | 25.9 | 10 |
| 1 1 -4 | 27.9 | 100 |
| 0 2 0 | 29.4 | 25 |
| 4 0 -3 | 29.7 | 22 |
| 4 2 -3 | 42.3 | 17 |
| 1 3 -4 | 51.1 | 19 |

Sm2TiGa3Ir4: computed XRD peak list (Cu Kα (λ = 1.5418 Å)), based on the PBE geometry in Alexandria.

Crystal structure
Cell lengths 4.1793, 4.1793, 10.7658 Å; angles 90.00, 90.00, 90.00 degrees
Space group P-4m2 (No. 115)
One atom of each set of equivalent atoms:
Sm 0.0000 0.5000 0.2328 [2 per cell]
Ti 0.0000 0.0000 0.5000 [1 per cell]
Ga 0.0000 0.5000 0.8726 [2 per cell]
Ga 0.5000 0.5000 0.5000 [1 per cell]
Ir 0.0000 0.0000 0.0000 [1 per cell]
Ir 0.0000 0.5000 0.6388 [2 per cell]
Ir 0.5000 0.5000 0.0000 [1 per cell]

Peak list (6 most intense, 2θ = 5–70°, low angle first)
| h k l | two_theta | Rel. int. |
| --- | --- | --- |
| 1 0 3 | 32.9 | 51 |
| 1 1 2 | 34.6 | 100 |
| 2 0 0 | 43.3 | 64 |
| 1 1 4 | 45.6 | 33 |
| 1 0 5 | 47.5 | 29 |
| 2 1 3 | 55.4 | 23 |